Diffraction record for Na5B7C3. The powder X-ray diffraction pattern is simulated, not measured: it uses DFT lattice parameters and positions (PBE) and copper Kα.
Peak positions follow from Bragg's law for the DFT cell and can differ from measured ones.

Peak list (10 most intense, 2θ = 5–70°, in order of rising 2θ)
2θ = 20.82°, intensity 1, hkl 0 0 10
2θ = 35.81°, intensity 19, hkl 1 0 0
2θ = 40.16°, intensity 1, hkl 0 0 19
2θ = 41.78°, intensity 100, hkl 1 0 10
2θ = 42.37°, intensity 23, hkl 0 0 20
2θ = 42.95°, intensity 2, hkl 0 1 11
2θ = 44.60°, intensity 1, hkl 0 0 21
2θ = 56.65°, intensity 9, hkl 0 1 20
2θ = 64.34°, intensity 18, hkl 1 1 0
2θ = 68.43°, intensity 2, hkl 1 1 10

Structural model:
Cell lengths 2.896, 2.896, 42.661 Å; angles 90.00, 90.00, 120.00 degrees
Fractional positions:
Na 0.000 0.000 0.000
Na 0.000 0.000 0.098
Na 0.000 0.000 0.197
Na 0.000 0.000 0.296
Na 0.000 0.000 0.398
Na 0.000 0.000 0.500
Na 0.000 0.000 0.602
Na 0.000 0.000 0.704
Na 0.000 0.000 0.803
Na 0.000 0.000 0.902
B 0.333 0.667 0.049
B 0.333 0.667 0.246
B 0.333 0.667 0.347
B 0.333 0.667 0.449
B 0.333 0.667 0.551
B 0.333 0.667 0.653
B 0.333 0.667 0.852
B 0.667 0.333 0.148
B 0.667 0.333 0.347
B 0.667 0.333 0.449
B 0.667 0.333 0.551
B 0.667 0.333 0.653
B 0.667 0.333 0.754
B 0.667 0.333 0.951
C 0.333 0.667 0.148
C 0.333 0.667 0.754
C 0.333 0.667 0.951
C 0.667 0.333 0.049
C 0.667 0.333 0.246
C 0.667 0.333 0.852